No. 1
Structure and computed powder X-ray diffraction pattern of Li3TbO3 (a structure optimized by DFT (GGA-PBE); Cu Kα (weighted mean of Kα1 and Kα2)).
Kinematic intensities with the Lorentz-polarization factor, no thermal factor.

Peak list (10 most intense, 10 to 90 degrees two-theta, sorted by position)
| d (Å) | Position (°2θ) | intensity | hkl |
| --- | --- | --- | --- |
| 5.366 | 16.52 | 75.9 | 0 0 3 |
| 4.843 | 18.32 | 58.4 | 1 0 1 |
| 4.295 | 20.68 | 50.3 | 0 1 2 |
| 2.932 | 30.49 | 40.7 | 1 1 0 |
| 2.719 | 32.94 | 15.8 | 0 1 5 |
| 2.573 | 34.87 | 100.0 | 1 1 3 |
| 1.979 | 45.84 | 53.5 | 1 1 6 |
| 1.693 | 54.18 | 21.2 | 3 0 0 |
| 1.614 | 57.05 | 19.2 | 0 3 3 |
| 1.527 | 60.64 | 17.1 | 2 -1 9 |

Cell and atoms:
```
data_Li3TbO3
_chemical_formula_sum 'Li18 Tb6 O18'
_cell_length_a 5.8639
_cell_length_b 5.8639
_cell_length_c 16.0984
_cell_angle_alpha 90.00
_cell_angle_beta 90.00
_cell_angle_gamma 120.00
_space_group_name_H-M_alt 'R -3'
_space_group_IT_number 148
_space_group_name_Hall '-R 3'
loop_
_atom_site_label
_atom_site_fract_x
_atom_site_fract_y
_atom_site_fract_z
_atom_site_occupancy
Li1 0.0226 0.2985 0.1244 1
Tb1 0.0000 0.0000 0.3306 1
O1 0.0041 0.3748 0.9138 1
```

No. 2
Structure and computed powder X-ray diffraction pattern of Li2TbTlO4 (a structure optimized by DFT (GGA-PBE); Cu Kα (weighted mean of Kα1 and Kα2)).
Kinematic intensities with the Lorentz-polarization factor, no thermal factor.

Peak list (10 most intense, 10 to 90 degrees two-theta, sorted by position)
| d (Å) | Position (°2θ) | intensity | hkl |
| --- | --- | --- | --- |
| 5.425 | 16.34 | 100.0 | 1 1 0 |
| 5.372 | 16.50 | 63.4 | 1 1 -1 |
| 2.882 | 31.03 | 32.4 | 1 1 -2 |
| 2.858 | 31.30 | 20.0 | 3 1 -2 |
| 2.711 | 33.04 | 64.4 | 2 2 0 |
| 2.686 | 33.36 | 43.1 | 2 2 -2 |
| 2.424 | 37.09 | 33.1 | 0 0 2 |
| 2.396 | 37.54 | 32.1 | 4 0 -2 |
| 2.211 | 40.82 | 25.1 | 0 4 0 |
| 1.633 | 56.34 | 21.3 | 0 4 2 |

Cell and atoms:
```
data_Li2TbTlO4
_chemical_formula_sum 'Li8 Tb4 Tl4 O16'
_cell_length_a 9.585
_cell_length_b 8.843
_cell_length_c 6.764
_cell_angle_alpha 90.00
_cell_angle_beta 134.22
_cell_angle_gamma 90.00
_space_group_name_H-M_alt 'C 1 2/c 1'
_space_group_IT_number 15
loop_
_space_group_symop_operation_xyz
'x,y,z'
'-x,-y,-z'
'-x,y,-z+1/2'
'x,-y,z+1/2'
'x+1/2,y+1/2,z'
'-x+1/2,-y+1/2,-z'
'-x+1/2,y+1/2,-z+1/2'
'x+1/2,-y+1/2,z+1/2'
loop_
_atom_site_label
_atom_site_fract_x
_atom_site_fract_y
_atom_site_fract_z
_atom_site_occupancy
Li1 0.000 0.000 0.000 1
Li2 0.250 0.250 0.000 1
Tb1 0.250 0.250 0.500 1
Tl1 0.000 0.500 0.000 1
O1 0.002 0.238 0.026 1
O2 0.235 0.489 0.983 1
```

No. 3
Structure and computed powder X-ray diffraction pattern of LiTcO3 (a structure optimized by DFT (GGA-PBE); Cu Kα (weighted mean of Kα1 and Kα2)).
Kinematic intensities with the Lorentz-polarization factor, no thermal factor.

Peak list (10 most intense, 10 to 90 degrees two-theta, sorted by position)
| d (Å) | Position (°2θ) | intensity | hkl |
| --- | --- | --- | --- |
| 5.139 | 17.26 | 100.0 | 0 2 0 |
| 4.273 | 20.79 | 18.5 | 2 0 0 |
| 3.958 | 22.46 | 56.7 | 1 1 1 |
| 3.286 | 27.14 | 21.9 | 2 2 0 |
| 2.677 | 33.48 | 17.2 | 1 3 1 |
| 2.402 | 37.44 | 43.5 | 3 1 1 |
| 2.233 | 40.40 | 19.1 | 0 2 2 |
| 2.004 | 45.26 | 38.2 | 3 3 1 |
| 1.784 | 51.20 | 16.8 | 0 4 2 |
| 1.580 | 58.41 | 22.2 | 3 5 1 |

Cell and atoms:
```
data_LiTcO3
_chemical_formula_sum 'Li8 Tc8 O24'
_cell_length_a 8.547
_cell_length_b 10.278
_cell_length_c 4.958
_cell_angle_alpha 90.00
_cell_angle_beta 90.00
_cell_angle_gamma 90.00
_space_group_name_H-M_alt 'F m m 2'
_space_group_IT_number 42
_space_group_name_Hall 'F 2 -2'
loop_
_atom_site_label
_atom_site_fract_x
_atom_site_fract_y
_atom_site_fract_z
_atom_site_occupancy
Li1 0.000 0.191 0.000 1
Tc1 0.169 0.000 0.498 1
O1 0.000 0.120 0.377 1
O2 0.185 0.116 0.808 1
```

No. 4
Structure and computed powder X-ray diffraction pattern of Li8TcO6 (a structure optimized by DFT (GGA-PBE); Cu Kα (weighted mean of Kα1 and Kα2)).
Kinematic intensities with the Lorentz-polarization factor, no thermal factor.

Peak list (10 most intense, 10 to 90 degrees two-theta, sorted by position)
| d (Å) | Position (°2θ) | intensity | hkl |
| --- | --- | --- | --- |
| 5.556 | 15.95 | 34.0 | 0 0 2 |
| 4.857 | 18.27 | 87.9 | 1 0 0 |
| 3.656 | 24.34 | 100.0 | 1 0 2 |
| 2.804 | 31.92 | 35.4 | 1 1 0 |
| 2.778 | 32.23 | 28.3 | 0 0 4 |
| 2.411 | 37.29 | 27.2 | 1 0 4 |
| 2.225 | 40.54 | 24.4 | 2 0 2 |
| 1.973 | 45.99 | 22.7 | 1 1 4 |
| 1.743 | 52.51 | 27.3 | 2 1 2 |
| 1.619 | 56.88 | 21.8 | 3 0 0 |

Cell and atoms:
```
data_Li8TcO6
_chemical_formula_sum 'Li16 Tc2 O12'
_cell_length_a 5.6079
_cell_length_b 5.6079
_cell_length_c 11.1112
_cell_angle_alpha 90.00
_cell_angle_beta 90.00
_cell_angle_gamma 120.00
_space_group_name_H-M_alt 'P 63 c m'
_space_group_IT_number 185
_space_group_name_Hall 'P 6c -2'
loop_
_atom_site_label
_atom_site_fract_x
_atom_site_fract_y
_atom_site_fract_z
_atom_site_occupancy
Li1 0.0000 0.3110 0.0000 1
Li2 0.0000 0.3739 0.3712 1
Li3 0.3333 0.6667 0.1374 1
Tc1 0.0000 0.0000 0.2043 1
O1 0.0000 0.0000 0.4072 1
O2 0.0000 0.3293 0.1902 1
O3 0.3333 0.6667 0.4568 1
```

No. 5
Structure and computed powder X-ray diffraction pattern of LiTcO3 (a structure optimized by DFT (GGA-PBE); Cu Kα (weighted mean of Kα1 and Kα2)).
Kinematic intensities with the Lorentz-polarization factor, no thermal factor.

Peak list (10 most intense, 10 to 90 degrees two-theta, sorted by position)
| d (Å) | Position (°2θ) | intensity | hkl |
| --- | --- | --- | --- |
| 5.248 | 16.89 | 100.0 | 0 0 1 |
| 4.171 | 21.30 | 35.7 | 1 1 0 |
| 3.978 | 22.35 | 34.0 | 1 1 -1 |
| 2.835 | 31.55 | 14.2 | 1 1 1 |
| 2.585 | 34.70 | 11.4 | 2 0 -1 |
| 2.437 | 36.88 | 21.7 | 1 3 0 |
| 2.251 | 40.05 | 15.1 | 2 0 -2 |
| 2.062 | 43.92 | 24.3 | 1 3 1 |
| 1.968 | 46.11 | 10.8 | 0 4 1 |
| 1.650 | 55.72 | 10.3 | 0 4 2 |

Cell and atoms:
```
data_LiTcO3
_chemical_formula_sum 'Li4 Tc4 O12'
_cell_length_a 5.186
_cell_length_b 8.494
_cell_length_c 5.685
_cell_angle_alpha 90.00
_cell_angle_beta 112.61
_cell_angle_gamma 90.00
_space_group_name_H-M_alt 'C 1 2/m 1'
_space_group_IT_number 12
loop_
_space_group_symop_operation_xyz
'x,y,z'
'-x,-y,-z'
'-x,y,-z'
'x,-y,z'
'x+1/2,y+1/2,z'
'-x+1/2,-y+1/2,-z'
'-x+1/2,y+1/2,-z'
'x+1/2,-y+1/2,z'
loop_
_atom_site_label
_atom_site_fract_x
_atom_site_fract_y
_atom_site_fract_z
_atom_site_occupancy
Li1 0.159 0.000 0.358 1
Tc1 0.000 0.354 0.000 1
O1 0.236 0.323 0.814 1
O2 0.238 0.500 0.267 1
```

No. 6
Structure and computed powder X-ray diffraction pattern of LiTcO2 (a structure optimized by DFT (GGA-PBE); Cu Kα (weighted mean of Kα1 and Kα2)).
Kinematic intensities with the Lorentz-polarization factor, no thermal factor.

Peak list (10 most intense, 10 to 90 degrees two-theta, sorted by position)
| d (Å) | Position (°2θ) | intensity | hkl |
| --- | --- | --- | --- |
| 6.549 | 13.52 | 100.0 | 0 0 1 |
| 3.774 | 23.57 | 30.4 | 0 1 1 |
| 3.399 | 26.22 | 12.0 | 0 1 -1 |
| 2.753 | 32.53 | 12.0 | 0 1 2 |
| 2.355 | 38.21 | 34.6 | 1 0 2 |
| 2.327 | 38.69 | 13.2 | 1 1 1 |
| 2.277 | 39.57 | 14.9 | 1 1 0 |
| 2.131 | 42.43 | 15.5 | 0 2 0 |
| 1.912 | 47.56 | 23.5 | 1 0 -2 |
| 1.631 | 56.43 | 13.6 | 1 2 2 |

Cell and atoms:
```
data_LiTcO2
_chemical_formula_sum 'Li2 Tc2 O4'
_cell_length_a 2.797
_cell_length_b 4.289
_cell_length_c 6.738
_cell_angle_alpha 83.59
_cell_angle_beta 78.06
_cell_angle_gamma 90.00
_space_group_name_H-M_alt 'P -1'
_space_group_IT_number 2
loop_
_space_group_symop_operation_xyz
'x,y,z'
'-x,-y,-z'
loop_
_atom_site_label
_atom_site_fract_x
_atom_site_fract_y
_atom_site_fract_z
_atom_site_occupancy
Li1 0.070 0.260 0.362 1
Tc1 0.310 0.213 0.880 1
O1 0.080 0.786 0.341 1
O2 0.317 0.688 0.866 1
```

No. 7
Structure and computed powder X-ray diffraction pattern of Li2TcO5 (a structure optimized by DFT (GGA-PBE); Cu Kα (weighted mean of Kα1 and Kα2)).
Kinematic intensities with the Lorentz-polarization factor, no thermal factor.

Peak list (10 most intense, 10 to 90 degrees two-theta, sorted by position)
| d (Å) | Position (°2θ) | intensity | hkl |
| --- | --- | --- | --- |
| 4.373 | 20.31 | 100.0 | 1 1 1 |
| 4.240 | 20.95 | 17.3 | 0 2 0 |
| 4.143 | 21.45 | 10.4 | 2 0 0 |
| 3.722 | 23.91 | 9.6 | 2 1 0 |
| 3.240 | 27.53 | 13.0 | 0 0 2 |
| 2.963 | 30.16 | 11.8 | 2 2 0 |
| 2.552 | 35.16 | 10.2 | 2 0 2 |
| 2.473 | 36.33 | 9.3 | 1 3 1 |
| 2.187 | 41.29 | 11.0 | 2 2 2 |
| 2.029 | 44.65 | 9.8 | 1 1 3 |

Cell and atoms:
```
data_Li2TcO5
_chemical_formula_sum 'Li8 Tc4 O20'
_cell_length_a 8.286
_cell_length_b 8.480
_cell_length_c 6.480
_cell_angle_alpha 90.00
_cell_angle_beta 90.00
_cell_angle_gamma 90.00
_space_group_name_H-M_alt 'P n n m'
_space_group_IT_number 58
loop_
_space_group_symop_operation_xyz
'x,y,z'
'-x,-y,-z'
'-x,-y,z'
'x,y,-z'
'x+1/2,-y+1/2,-z+1/2'
'-x+1/2,y+1/2,z+1/2'
'-x+1/2,y+1/2,-z+1/2'
'x+1/2,-y+1/2,z+1/2'
loop_
_atom_site_label
_atom_site_fract_x
_atom_site_fract_y
_atom_site_fract_z
_atom_site_occupancy
Li1 0.000 0.000 0.218 1
Li2 0.110 0.362 0.000 1
Tc1 0.216 0.234 0.500 1
O1 0.090 0.994 0.500 1
O2 0.106 0.253 0.269 1
O3 0.132 0.589 0.000 1
O4 0.160 0.905 0.000 1
```

No. 8
Structure and computed powder X-ray diffraction pattern of Li2Tc2O7 (a structure optimized by DFT (GGA-PBE); Cu Kα (weighted mean of Kα1 and Kα2)).
Kinematic intensities with the Lorentz-polarization factor, no thermal factor.

Peak list (10 most intense, 10 to 90 degrees two-theta, sorted by position)
| d (Å) | Position (°2θ) | intensity | hkl |
| --- | --- | --- | --- |
| 5.094 | 17.41 | 58.6 | 0 0 1 |
| 4.500 | 19.73 | 100.0 | 0 2 0 |
| 4.029 | 22.06 | 76.8 | 1 1 -1 |
| 3.372 | 26.43 | 73.4 | 0 2 1 |
| 3.293 | 27.08 | 64.3 | 1 1 1 |
| 3.099 | 28.80 | 37.7 | 2 0 0 |
| 2.487 | 36.12 | 36.4 | 1 1 -2 |
| 2.118 | 42.70 | 34.1 | 1 1 2 |
| 1.799 | 50.75 | 27.0 | 3 1 -2 |
| 1.763 | 51.87 | 26.8 | 1 3 2 |

Cell and atoms:
```
data_Li2Tc2O7
_chemical_formula_sum 'Li4 Tc4 O14'
_cell_length_a 6.388
_cell_length_b 9.000
_cell_length_c 5.250
_cell_angle_alpha 90.00
_cell_angle_beta 103.98
_cell_angle_gamma 90.00
_space_group_name_H-M_alt 'C 1 2/m 1'
_space_group_IT_number 12
loop_
_space_group_symop_operation_xyz
'x,y,z'
'-x,-y,-z'
'-x,y,-z'
'x,-y,z'
'x+1/2,y+1/2,z'
'-x+1/2,-y+1/2,-z'
'-x+1/2,y+1/2,-z'
'x+1/2,-y+1/2,z'
loop_
_atom_site_label
_atom_site_fract_x
_atom_site_fract_y
_atom_site_fract_z
_atom_site_occupancy
Li1 0.000 0.174 0.000 1
Tc1 0.248 0.500 0.374 1
O1 0.000 0.500 0.500 1
O2 0.057 0.000 0.288 1
O3 0.208 0.330 0.209 1
```